[1]
Nd3Ga4Pd7: simulated powder diffractogram (a wavelength of 1.5418 Å), based on the PBE geometry in Alexandria.

Principal peaks in the range 5° ≤ 2θ ≤ 70°, low angle first:
Position (°2θ), d_spacing, I/Imax, hkl
29.57, 3.021, 18, 3 1 0
34.59, 2.593, 100, 1 1 2
35.04, 2.561, 33, 3 1 -3
35.45, 2.532, 93, 5 1 -2
37.22, 2.416, 19, 4 0 -4
38.18, 2.357, 25, 5 1 -3
41.78, 2.162, 37, 6 0 0
42.83, 2.111, 55, 0 2 0
61.38, 1.510, 23, 6 2 0
66.54, 1.405, 16, 9 1 -6

Crystal structure
```
data_Nd3Ga4Pd7
_chemical_formula_sum 'Nd6 Ga8 Pd14'
_symmetry_space_group_name_H-M 'C 1 2/m 1'
_symmetry_Int_Tables_number 12
_symmetry_space_group_name_Hall '-C 2y'
_cell_length_a 15.883
_cell_length_b 4.222
_cell_length_c 9.669
_cell_angle_alpha 90.00
_cell_angle_beta 125.24
_cell_angle_gamma 90.00
loop_
_atom_site_label
_atom_site_type_symbol
_atom_site_fract_x
_atom_site_fract_y
_atom_site_fract_z
Nd1 Nd 0.000 0.000 0.000
Nd2 Nd 0.174 0.500 0.667
Ga1 Ga 0.115 0.000 0.838
Ga2 Ga 0.163 0.500 0.276
Pd1 Pd 0.000 0.000 0.500
Pd2 Pd 0.003 0.500 0.283
Pd3 Pd 0.159 0.000 0.422
Pd4 Pd 0.192 0.500 0.039
```

=====

[2]
NdGa3Pd: simulated powder diffractogram (a wavelength of 1.5418 Å), based on the PBE geometry in Alexandria.

Principal peaks in the range 5° ≤ 2θ ≤ 70°, low angle first:
Position (°2θ), d_spacing, I/Imax, hkl
32.58, 2.748, 50, 1 0 3
33.01, 2.713, 8, 0 0 4
34.25, 2.618, 100, 1 1 2
42.79, 2.113, 50, 2 0 0
45.13, 2.009, 12, 1 1 4
47.06, 1.931, 26, 1 0 5
54.80, 1.675, 23, 2 1 3
59.76, 1.547, 12, 1 1 6
62.12, 1.494, 16, 2 2 0
65.48, 1.425, 19, 2 1 5

Crystal structure
```
data_NdGa3Pd
_chemical_formula_sum 'Nd2 Ga6 Pd2'
_symmetry_space_group_name_H-M 'I -4 m 2'
_symmetry_Int_Tables_number 119
_symmetry_space_group_name_Hall 'I -4 -2'
_cell_length_a 4.226
_cell_length_b 4.226
_cell_length_c 10.853
_cell_angle_alpha 90.00
_cell_angle_beta 90.00
_cell_angle_gamma 90.00
loop_
_atom_site_label
_atom_site_type_symbol
_atom_site_fract_x
_atom_site_fract_y
_atom_site_fract_z
Nd1 Nd 0.000 0.000 0.000
Ga1 Ga 0.000 0.000 0.385
Ga2 Ga 0.000 0.500 0.250
Pd1 Pd 0.000 0.500 0.750
```

=====

[3]
NdGa3Pd3: simulated powder diffractogram (a wavelength of 1.5418 Å), based on the PBE geometry in Alexandria.

Principal peaks in the range 5° ≤ 2θ ≤ 70°, low angle first:
Position (°2θ), d_spacing, I/Imax, hkl
29.44, 3.034, 87, 2 -1 3
35.48, 2.530, 17, 0 2 4
36.64, 2.453, 41, 1 0 7
38.73, 2.325, 100, 2 -1 6
40.02, 2.253, 79, 2 1 1
40.91, 2.206, 69, 1 2 2
44.32, 2.044, 23, 2 1 4
45.31, 2.001, 32, 3 0 0
51.03, 1.790, 37, 1 1 9
66.00, 1.415, 18, 1 3 7

Crystal structure
```
data_NdGa3Pd3
_chemical_formula_sum 'Nd6 Ga18 Pd18'
_symmetry_space_group_name_H-M 'R -3'
_symmetry_Int_Tables_number 148
_symmetry_space_group_name_Hall '-R 3'
_cell_length_a 6.9330
_cell_length_b 6.9330
_cell_length_c 18.8092
_cell_angle_alpha 90.00
_cell_angle_beta 90.00
_cell_angle_gamma 120.00
loop_
_atom_site_label
_atom_site_type_symbol
_atom_site_fract_x
_atom_site_fract_y
_atom_site_fract_z
Nd1 Nd 0.0000 0.0000 0.1609
Ga1 Ga 0.0228 0.4139 0.3752
Pd1 Pd 0.0070 0.2416 0.5722
```

=====

[4]
NdGa3Pd: simulated powder diffractogram (a wavelength of 1.5418 Å), based on the PBE geometry in Alexandria.

Principal peaks in the range 5° ≤ 2θ ≤ 70°, low angle first:
Position (°2θ), d_spacing, I/Imax, hkl
22.18, 4.008, 7, 1 0 1
29.17, 3.061, 24, 1 1 0
32.71, 2.738, 70, 1 0 3
33.81, 2.651, 100, 1 1 2
41.73, 2.165, 63, 2 0 0
45.25, 2.004, 19, 1 1 4
47.76, 1.904, 29, 1 0 5
54.00, 1.698, 33, 2 1 3
60.49, 1.531, 35, 2 2 0
65.26, 1.430, 23, 2 1 5

Crystal structure
```
data_NdGa3Pd
_chemical_formula_sum 'Nd2 Ga6 Pd2'
_symmetry_space_group_name_H-M 'I 4 m m'
_symmetry_Int_Tables_number 107
_symmetry_space_group_name_Hall 'I 4 -2'
_cell_length_a 4.329
_cell_length_b 4.329
_cell_length_c 10.603
_cell_angle_alpha 90.00
_cell_angle_beta 90.00
_cell_angle_gamma 90.00
loop_
_atom_site_label
_atom_site_type_symbol
_atom_site_fract_x
_atom_site_fract_y
_atom_site_fract_z
Nd1 Nd 0.000 0.000 0.000
Ga1 Ga 0.000 0.000 0.412
Ga2 Ga 0.000 0.500 0.262
Pd1 Pd 0.000 0.000 0.644
```

=====

[5]
Nd2Ga9Pd3: simulated powder diffractogram (a wavelength of 1.5418 Å), based on the PBE geometry in Alexandria.

Principal peaks in the range 5° ≤ 2θ ≤ 70°, low angle first:
Position (°2θ), d_spacing, I/Imax, hkl
29.45, 3.033, 25, 3 1 1
36.09, 2.489, 75, 0 2 3
36.17, 2.483, 37, 3 1 -4
37.02, 2.428, 22, 0 0 4
40.22, 2.242, 100, 6 0 -2
44.49, 2.036, 14, 3 3 -3
50.59, 1.804, 11, 0 4 2
55.11, 1.667, 11, 0 4 3
62.08, 1.495, 11, 3 1 5
66.53, 1.406, 11, 3 5 1

Crystal structure
```
data_Nd2Ga9Pd3
_chemical_formula_sum 'Nd8 Ga36 Pd12'
_symmetry_space_group_name_H-M 'C 1 2/c 1'
_symmetry_Int_Tables_number 15
_symmetry_space_group_name_Hall '-C 2yc'
_cell_length_a 13.446
_cell_length_b 7.772
_cell_length_c 10.684
_cell_angle_alpha 90.00
_cell_angle_beta 114.61
_cell_angle_gamma 90.00
loop_
_atom_site_label
_atom_site_type_symbol
_atom_site_fract_x
_atom_site_fract_y
_atom_site_fract_z
Nd1 Nd 0.168 0.083 0.251
Ga1 Ga 0.000 0.377 0.250
Ga2 Ga 0.058 0.086 0.925
Ga3 Ga 0.102 0.316 0.749
Ga4 Ga 0.104 0.416 0.064
Ga5 Ga 0.223 0.419 0.424
Pd1 Pd 0.085 0.246 0.501
Pd2 Pd 0.250 0.250 0.000
```

=====

[6]
NdGa8Pd4: simulated powder diffractogram (a wavelength of 1.5418 Å), based on the PBE geometry in Alexandria.

Principal peaks in the range 5° ≤ 2θ ≤ 70°, low angle first:
Position (°2θ), d_spacing, I/Imax, hkl
19.91, 4.459, 18, 2 0 0
34.19, 2.623, 38, 3 0 1
38.10, 2.362, 100, 2 0 2
39.88, 2.261, 77, 3 2 1
40.45, 2.230, 65, 4 0 0
43.35, 2.087, 62, 2 2 2
45.48, 1.994, 30, 4 2 0
56.78, 1.621, 19, 4 2 2
58.58, 1.576, 17, 4 4 0
62.56, 1.485, 20, 3 2 3

Crystal structure
```
data_NdGa8Pd4
_chemical_formula_sum 'Nd2 Ga16 Pd8'
_symmetry_space_group_name_H-M 'I 4/m m m'
_symmetry_Int_Tables_number 139
_symmetry_space_group_name_Hall '-I 4 2'
_cell_length_a 8.919
_cell_length_b 8.919
_cell_length_c 5.569
_cell_angle_alpha 90.00
_cell_angle_beta 90.00
_cell_angle_gamma 90.00
loop_
_atom_site_label
_atom_site_type_symbol
_atom_site_fract_x
_atom_site_fract_y
_atom_site_fract_z
Nd1 Nd 0.000 0.000 0.000
Ga1 Ga 0.000 0.219 0.500
Ga2 Ga 0.000 0.350 0.000
Pd1 Pd 0.250 0.250 0.250
```

=====

[7]
NdGa11Pd: simulated powder diffractogram (a wavelength of 1.5418 Å), based on the PBE geometry in Alexandria.

Principal peaks in the range 5° ≤ 2θ ≤ 70°, low angle first:
Position (°2θ), d_spacing, I/Imax, hkl
32.91, 2.722, 65, 1 3 1
34.60, 2.593, 43, 1 1 2
34.75, 2.582, 54, 1 1 -3
37.69, 2.387, 100, 0 4 2
38.19, 2.357, 24, 0 2 3
39.12, 2.303, 63, 2 2 0
39.23, 2.297, 53, 2 2 -2
41.22, 2.190, 59, 1 5 -1
45.60, 1.989, 29, 2 4 -1
61.69, 1.504, 24, 1 3 -5

Crystal structure
```
data_NdGa11Pd
_chemical_formula_sum 'Nd2 Ga22 Pd2'
_symmetry_space_group_name_H-M 'C 1 2/m 1'
_symmetry_Int_Tables_number 12
_symmetry_space_group_name_Hall '-C 2y'
_cell_length_a 5.249
_cell_length_b 12.202
_cell_length_c 8.089
_cell_angle_alpha 90.00
_cell_angle_beta 108.64
_cell_angle_gamma 90.00
loop_
_atom_site_label
_atom_site_type_symbol
_atom_site_fract_x
_atom_site_fract_y
_atom_site_fract_z
Nd1 Nd 0.000 0.000 0.000
Ga1 Ga 0.000 0.000 0.500
Ga2 Ga 0.114 0.391 0.225
Ga3 Ga 0.196 0.178 0.361
Ga4 Ga 0.250 0.250 0.000
Pd1 Pd 0.000 0.500 0.500
```

=====

[8]
NdGa2Pd8: simulated powder diffractogram (a wavelength of 1.5418 Å), based on the PBE geometry in Alexandria.

Principal peaks in the range 5° ≤ 2θ ≤ 70°, low angle first:
Position (°2θ), d_spacing, I/Imax, hkl
11.86, 7.461, 14, 0 0 1
20.01, 4.437, 12, 1 0 1
23.85, 3.731, 23, 0 0 2
25.76, 3.458, 24, 1 1 1
32.44, 2.760, 26, 2 0 0
40.67, 2.219, 100, 2 0 2
46.54, 1.951, 38, 2 2 0
49.33, 1.847, 11, 2 0 3
67.94, 1.380, 12, 4 0 0
69.74, 1.348, 13, 2 2 4

Crystal structure
```
data_NdGa2Pd8
_chemical_formula_sum 'Nd1 Ga2 Pd8'
_symmetry_space_group_name_H-M 'P 4/m m m'
_symmetry_Int_Tables_number 123
_symmetry_space_group_name_Hall '-P 4 2'
_cell_length_a 5.519
_cell_length_b 5.519
_cell_length_c 7.461
_cell_angle_alpha 90.00
_cell_angle_beta 90.00
_cell_angle_gamma 90.00
loop_
_atom_site_label
_atom_site_type_symbol
_atom_site_fract_x
_atom_site_fract_y
_atom_site_fract_z
Nd1 Nd 0.000 0.000 0.000
Ga1 Ga 0.000 0.500 0.500
Pd1 Pd 0.255 0.255 0.282
```

=====

> Number 1 is which compound?

Nd3Ga4Pd7